For Ba2NdCoCu2O7, the GGA+U geometry in Alexandria gives the computed XRD peak list in this record (Cu Kα, 1.54184 Å).

Atomic structure:
abc: 3.9065 3.9519 11.9020
angles: 90.00 90.00 90.00
Space group Pmmm (No. 47)
Asymmetric unit:
1 Ba 0.0000 0.0000 0.1816 (multiplicity 2)
2 Nd 0.0000 0.0000 0.5000 (multiplicity 1)
3 Co 0.5000 0.5000 0.0000 (multiplicity 1)
4 Cu 0.5000 0.5000 0.3543 (multiplicity 2)
5 O 0.0000 0.5000 0.3717 (multiplicity 2)
6 O 0.5000 0.0000 0.0000 (multiplicity 1)
7 O 0.5000 0.0000 0.3712 (multiplicity 2)
8 O 0.5000 0.5000 0.1509 (multiplicity 2)

Largest 8 diffraction maxima, sorted by position, 2θ = 5–70°:
index  2θ/deg  I_rel
0 1 3  31.96  46
1 0 3  32.19  100
1 1 3  39.60  16
0 2 0  45.93  15
2 0 0  46.49  14
1 1 6  57.05  17
1 2 3  57.17  19
2 1 3  57.53  17